# TaTeSe4
Theoretical powder diffractogram, Cu Kα. Input: a structure optimized by DFT (GGA-PBE).
Peak positions follow from Bragg's law for the DFT cell and can differ from measured ones.

Largest 10 diffraction maxima, most intense first, 10 to 90 degrees two-theta:
(1 1 -1), 2θ = 21.6°, rel. 100
(2 0 0), 2θ = 25.5°, rel. 80
(1 1 -3), 2θ = 42.9°, rel. 78
(0 2 2), 2θ = 38.6°, rel. 66
(1 3 -1), 2θ = 45.1°, rel. 48
(3 1 1), 2θ = 45.5°, rel. 47
(1 1 1), 2θ = 24.2°, rel. 46
(0 2 1), 2θ = 30.5°, rel. 41
(3 1 -1), 2θ = 41.2°, rel. 41
(1 3 1), 2θ = 46.5°, rel. 39

Structure:
```
data_TaTeSe4
_cell_length_a 7.100
_cell_length_b 6.515
_cell_length_c 6.761
_cell_angle_alpha 90.00
_cell_angle_beta 99.83
_cell_angle_gamma 90.00
_space_group_name_H-M_alt 'P 1 21/c 1'
_space_group_IT_number 14
loop_
_space_group_symop_operation_xyz
'x,y,z'
'-x,-y,-z'
'-x,y+1/2,-z+1/2'
'x,-y+1/2,z+1/2'
loop_
_atom_site_label
_atom_site_type_symbol
_atom_site_fract_x
_atom_site_fract_y
_atom_site_fract_z
_atom_site_occupancy
Ta1 Ta 0.000 0.000 0.000 1
Te1 Te 0.500 0.000 0.500 1
Se1 Se 0.071 0.157 0.673 1
Se2 Se 0.354 0.616 0.608 1
```



# TaV2Te2Se4
Theoretical powder diffractogram, Cu Kα. Input: a structure optimized by DFT (GGA-PBE).
Peak positions follow from Bragg's law for the DFT cell and can differ from measured ones.

Largest 10 diffraction maxima, most intense first, 10 to 90 degrees two-theta:
(0 0 3), 2θ = 11.9°, rel. 100
(1 0 5), 2θ = 36.3°, rel. 99
(0 1 8), 2θ = 44.5°, rel. 61
(1 0 0), 2θ = 30.1°, rel. 57
(1 1 0), 2θ = 53.4°, rel. 43
(0 1 6), 2θ = 38.7°, rel. 36
(1 0 4), 2θ = 34.2°, rel. 32
(0 1 3), 2θ = 32.4°, rel. 29
(2 0 8), 2θ = 72.0°, rel. 23
(0 1 7), 2θ = 41.5°, rel. 19

Structure:
```
data_TaV2Te2Se4
_cell_length_a 3.4311
_cell_length_b 3.4311
_cell_length_c 22.3839
_cell_angle_alpha 90.00
_cell_angle_beta 90.00
_cell_angle_gamma 120.00
_space_group_name_H-M_alt 'P 3 m 1'
_space_group_IT_number 156
loop_
_space_group_symop_operation_xyz
'x,y,z'
'-y,x-y,z'
'-x+y,-x,z'
'-y,-x,z'
'-x+y,y,z'
'x,x-y,z'
loop_
_atom_site_label
_atom_site_type_symbol
_atom_site_fract_x
_atom_site_fract_y
_atom_site_fract_z
_atom_site_occupancy
Ta1 Ta 0.0000 0.0000 0.0000 1
V1 V 0.0000 0.0000 0.6403 1
V2 V 0.6667 0.3333 0.3322 1
Te1 Te 0.6667 0.3333 0.0883 1
Te2 Te 0.6667 0.3333 0.9117 1
Se1 Se 0.0000 0.0000 0.2616 1
Se2 Se 0.0000 0.0000 0.4027 1
Se3 Se 0.6667 0.3333 0.5698 1
Se4 Se 0.6667 0.3333 0.7109 1
```



# Ta2Te2WSe4
Theoretical powder diffractogram, Cu Kα. Input: a structure optimized by DFT (GGA-PBE).
Peak positions follow from Bragg's law for the DFT cell and can differ from measured ones.

Largest 10 diffraction maxima, most intense first, 10 to 90 degrees two-theta:
(0 0 3), 2θ = 12.1°, rel. 100
(1 0 5), 2θ = 36.0°, rel. 71
(0 1 8), 2θ = 44.6°, rel. 39
(1 0 0), 2θ = 29.5°, rel. 36
(1 1 0), 2θ = 52.3°, rel. 29
(1 0 3), 2θ = 32.0°, rel. 20
(0 1 4), 2θ = 33.8°, rel. 17
(1 1 3), 2θ = 53.9°, rel. 14
(0 2 5), 2θ = 65.2°, rel. 13
(2 1 5), 2θ = 88.2°, rel. 11

Structure:
```
data_Ta2Te2WSe4
_cell_length_a 3.4979
_cell_length_b 3.4979
_cell_length_c 21.9462
_cell_angle_alpha 90.00
_cell_angle_beta 90.00
_cell_angle_gamma 120.00
_space_group_name_H-M_alt 'P 3 m 1'
_space_group_IT_number 156
loop_
_space_group_symop_operation_xyz
'x,y,z'
'-y,x-y,z'
'-x+y,-x,z'
'-y,-x,z'
'-x+y,y,z'
'x,x-y,z'
loop_
_atom_site_label
_atom_site_type_symbol
_atom_site_fract_x
_atom_site_fract_y
_atom_site_fract_z
_atom_site_occupancy
Ta1 Ta 0.0000 0.0000 0.0000 1
Ta2 Ta 0.3333 0.6667 0.3176 1
Te1 Te 0.0000 0.0000 0.5898 1
Te2 Te 0.0000 0.0000 0.7577 1
W1 W 0.3333 0.6667 0.6737 1
Se1 Se 0.0000 0.0000 0.2416 1
Se2 Se 0.0000 0.0000 0.3937 1
Se3 Se 0.3333 0.6667 0.0760 1
Se4 Se 0.3333 0.6667 0.9239 1
```



# Ta4TiSe8
Theoretical powder diffractogram, Cu Kα. Input: a structure optimized by DFT (GGA-PBE).
Peak positions follow from Bragg's law for the DFT cell and can differ from measured ones.

Largest 10 diffraction maxima, most intense first, 10 to 90 degrees two-theta:
(0 2 4), 2θ = 35.0°, rel. 100
(0 0 3), 2θ = 14.1°, rel. 56
(2 0 8), 2θ = 48.7°, rel. 38
(0 2 1), 2θ = 29.6°, rel. 37
(2 2 0), 2θ = 51.8°, rel. 32
(2 0 5), 2θ = 37.9°, rel. 24
(4 0 4), 2θ = 64.0°, rel. 17
(2 2 12), 2θ = 82.0°, rel. 16
(2 4 4), 2θ = 86.8°, rel. 15
(2 2 3), 2θ = 54.0°, rel. 11

Structure:
```
data_Ta4TiSe8
_cell_length_a 7.0590
_cell_length_b 7.0590
_cell_length_c 18.9013
_cell_angle_alpha 90.00
_cell_angle_beta 90.00
_cell_angle_gamma 120.00
_space_group_name_H-M_alt 'R -3 m'
_space_group_IT_number 166
_space_group_name_Hall '-R 3 2"'
loop_
_atom_site_label
_atom_site_type_symbol
_atom_site_fract_x
_atom_site_fract_y
_atom_site_fract_z
_atom_site_occupancy
Ta1 Ta 0.0000 0.0000 0.0000 1
Ta2 Ta 0.0000 0.5000 0.0000 1
Ti1 Ti 0.0000 0.0000 0.5000 1
Se1 Se 0.0000 0.0000 0.2469 1
Se2 Se 0.0098 0.5049 0.7551 1
```



# TaTi3Tl3Se8
Theoretical powder diffractogram, Cu Kα. Input: a structure optimized by DFT (GGA-PBE).
Peak positions follow from Bragg's law for the DFT cell and can differ from measured ones.

Largest 10 diffraction maxima, most intense first, 10 to 90 degrees two-theta:
(4 0 0), 2θ = 32.1°, rel. 100
(0 4 0), 2θ = 50.9°, rel. 30
(1 1 0), 2θ = 14.7°, rel. 30
(2 2 2), 2θ = 40.6°, rel. 28
(3 1 -2), 2θ = 27.0°, rel. 16
(4 0 -4), 2θ = 40.5°, rel. 14
(0 0 3), 2θ = 31.7°, rel. 13
(2 2 1), 2θ = 33.8°, rel. 12
(2 0 1), 2θ = 22.6°, rel. 12
(4 4 0), 2θ = 61.5°, rel. 11

Structure:
```
data_TaTi3Tl3Se8
_cell_length_a 12.437
_cell_length_b 7.172
_cell_length_c 9.454
_cell_angle_alpha 90.00
_cell_angle_beta 116.24
_cell_angle_gamma 90.00
_space_group_name_H-M_alt 'C 1 2/m 1'
_space_group_IT_number 12
loop_
_space_group_symop_operation_xyz
'x,y,z'
'-x,-y,-z'
'-x,y,-z'
'x,-y,z'
'x+1/2,y+1/2,z'
'-x+1/2,-y+1/2,-z'
'-x+1/2,y+1/2,-z'
'x+1/2,-y+1/2,z'
loop_
_atom_site_label
_atom_site_type_symbol
_atom_site_fract_x
_atom_site_fract_y
_atom_site_fract_z
_atom_site_occupancy
Ta1 Ta 0.000 0.000 0.000 1
Ti1 Ti 0.000 0.500 0.000 1
Ti2 Ti 0.250 0.250 0.000 1
Tl1 Tl 0.000 0.000 0.500 1
Tl2 Tl 0.250 0.250 0.500 1
Se1 Se 0.021 0.252 0.814 1
Se2 Se 0.228 0.500 0.181 1
Se3 Se 0.231 0.000 0.186 1
```



# TaTlSe3
Theoretical powder diffractogram, Cu Kα. Input: a structure optimized by DFT (GGA-PBE).
Peak positions follow from Bragg's law for the DFT cell and can differ from measured ones.

Largest 10 diffraction maxima, most intense first, 10 to 90 degrees two-theta:
(1 0 4), 2θ = 22.1°, rel. 100
(1 1 0), 2θ = 25.9°, rel. 72
(0 2 4), 2θ = 34.3°, rel. 60
(2 1 4), 2θ = 43.4°, rel. 46
(1 1 6), 2θ = 35.9°, rel. 43
(1 1 9), 2θ = 45.8°, rel. 34
(2 0 5), 2θ = 36.5°, rel. 30
(2 2 0), 2θ = 53.2°, rel. 30
(0 1 2), 2θ = 16.9°, rel. 29
(0 1 8), 2θ = 36.3°, rel. 26

Structure:
```
data_TaTlSe3
_cell_length_a 6.8903
_cell_length_b 6.8903
_cell_length_c 21.7879
_cell_angle_alpha 90.00
_cell_angle_beta 90.00
_cell_angle_gamma 120.00
_space_group_name_H-M_alt 'R 3 2'
_space_group_IT_number 155
_space_group_name_Hall 'R 3 2"'
loop_
_atom_site_label
_atom_site_type_symbol
_atom_site_fract_x
_atom_site_fract_y
_atom_site_fract_z
_atom_site_occupancy
Ta1 Ta 0.0000 0.0000 0.1538 1
Tl1 Tl 0.0000 0.0000 0.3752 1
Se1 Se 0.0131 0.4556 0.4250 1
```